Structure and theoretical powder diffraction line list of Tl5C4 (a crystal structure in Alexandria, relaxed with GGA-PBE; Cu Kα).
Neutral-atom scattering factors, no anomalous dispersion.

Structural model:
```
data_Tl5C4
_symmetry_space_group_name_H-M 'I 4/m m m'
_symmetry_Int_Tables_number 139
_symmetry_space_group_name_Hall '-I 4 2'
_cell_length_a 8.0663
_cell_length_b 8.0663
_cell_length_c 7.3583
_cell_angle_alpha 90.00
_cell_angle_beta 90.00
_cell_angle_gamma 90.00
loop_
_atom_site_label
_atom_site_type_symbol
_atom_site_fract_x
_atom_site_fract_y
_atom_site_fract_z
Tl1 Tl 0.0000 0.0000 0.0000
Tl2 Tl 0.2033 0.2033 0.5000
C1 C 0.0000 0.4206 0.0000
```

Most intense lines, 2θ from 15° to 90°, by angle:
d_spacing	intensity
4.033	41
3.679	100
3.239	78
2.852	58
2.525	95
2.254	60
1.812	36
1.468	41